The following is a computed powder diffraction line list of NbB4Mo2. It was derived from the GGA-PBE geometry in Alexandria, using CuKα.

Cell and atoms:
a b c (Å): 3.105 3.219 13.991
angles (deg): 90.00 90.00 90.00
Space group Immm (No. 71)
Symmetry-distinct sites (fractional):
Nb (0.000, 0.000, 0.000) [2 per cell]
B (0.000, 0.000, 0.434) [4 per cell]
B (0.000, 0.500, 0.135) [4 per cell]
Mo (0.000, 0.500, 0.314) [4 per cell]

The 6 most intense peaks (2θ = 10–90°), in order of rising 2θ:
| 2theta | d/Å | I_rel | hkl |
| --- | --- | --- | --- |
| 28.46 | 3.137 | 529 | 0 1 1 |
| 34.71 | 2.585 | 1000 | 1 0 3 |
| 38.61 | 2.332 | 307 | 0 0 6 |
| 42.46 | 2.129 | 971 | 1 1 2 |
| 42.82 | 2.112 | 656 | 0 1 5 |
| 68.08 | 1.377 | 276 | 1 1 8 |

=====

The following is a computed powder diffraction line list of Al5Cr. It was derived from the GGA-PBE geometry in Alexandria, using CuKα.

Cell and atoms:
a b c (Å): 9.989 2.959 6.383
angles (deg): 90.00 104.33 90.00
Space group Cm (No. 8)
Symmetry-distinct sites (fractional):
Al (0.000, 0.000, 0.000) [2 per cell]
Al (0.043, 0.000, 0.572) [2 per cell]
Al (0.209, 0.500, 0.922) [2 per cell]
Al (0.315, 0.000, 0.640) [2 per cell]
Al (0.366, 0.000, 0.256) [2 per cell]
Cr (0.153, 0.500, 0.309) [2 per cell]

The 6 most intense peaks (2θ = 10–90°), in order of rising 2θ:
| 2theta | d/Å | I_rel | hkl |
| --- | --- | --- | --- |
| 35.84 | 2.506 | 446 | 1 1 1 |
| 41.30 | 2.186 | 636 | 4 0 -2 |
| 41.40 | 2.181 | 1000 | 3 1 0 |
| 41.68 | 2.167 | 985 | 1 1 -2 |
| 43.40 | 2.085 | 364 | 4 0 1 |
| 43.92 | 2.061 | 352 | 0 0 3 |

=====

The following is a computed powder diffraction line list of Tl2SnHgSe4. It was derived from the GGA-PBE geometry in Alexandria, using CuKα.

Cell and atoms:
a b c (Å): 8.220 8.220 7.042
angles (deg): 90.00 90.00 90.00
Space group I-42m (No. 121)
Symmetry-distinct sites (fractional):
Tl (0.000, 0.500, 0.000) [4 per cell]
Sn (0.000, 0.000, 0.000) [2 per cell]
Hg (0.000, 0.000, 0.500) [2 per cell]
Se (0.173, 0.173, 0.231) [8 per cell]

The 6 most intense peaks (2θ = 10–90°), in order of rising 2θ:
| 2theta | d/Å | I_rel | hkl |
| --- | --- | --- | --- |
| 21.62 | 4.110 | 531 | 2 0 0 |
| 27.37 | 3.259 | 262 | 2 1 1 |
| 30.77 | 2.906 | 527 | 2 2 0 |
| 33.51 | 2.674 | 1000 | 2 0 2 |
| 40.24 | 2.241 | 298 | 2 2 2 |
| 51.49 | 1.775 | 261 | 4 0 2 |